(1)
The following is a theoretical PXRD pattern of SmGa7Cu5. It was derived from a cell relaxed with PBE, using λ = 1.5418 Å (Cu Kα).
No peak broadening, texture or thermal motion is included.

Structural model:
a b c (Å): 5.234 8.891 8.648
angles (deg): 90.00 90.00 90.00
Space group Imm2 (No. 44)
Symmetry-distinct sites (fractional):
Sm (0.000, 0.000, 0.000) x2
Ga (0.000, 0.000, 0.352) x2
Ga (0.000, 0.000, 0.652) x2
Ga (0.000, 0.300, 0.490) x4
Ga (0.000, 0.346, 0.008) x4
Ga (0.000, 0.500, 0.728) x2
Cu (0.000, 0.500, 0.268) x2
Cu (0.248, 0.251, 0.747) x8

Peak list (8 most intense, 2θ = 5–70°, low angle first)
34.79 deg, intensity 53
39.98 deg, intensity 62
40.28 deg, intensity 58
40.59 deg, intensity 43
40.74 deg, intensity 100
41.11 deg, intensity 64
41.78 deg, intensity 48
45.36 deg, intensity 66

(2)
The following is a theoretical PXRD pattern of SmZnGaCu2. It was derived from a cell relaxed with PBE, using λ = 1.5418 Å (Cu Kα).
No peak broadening, texture or thermal motion is included.

Structural model:
a b c (Å): 4.002 4.039 11.000
angles (deg): 90.00 90.00 90.00
Space group Imm2 (No. 44)
Symmetry-distinct sites (fractional):
Sm (0.000, 0.000, 0.000) x2
Zn (0.000, 0.500, 0.762) x2
Ga (0.000, 0.000, 0.619) x2
Cu (0.000, 0.000, 0.397) x2
Cu (0.000, 0.500, 0.257) x2

Peak list (8 most intense, 2θ = 5–70°, low angle first)
31.47 deg, intensity 16
32.99 deg, intensity 32
33.14 deg, intensity 28
35.55 deg, intensity 100
44.88 deg, intensity 24
45.32 deg, intensity 24
47.03 deg, intensity 17
47.14 deg, intensity 19

(3)
The following is a theoretical PXRD pattern of GaCuSn. It was derived from a cell relaxed with PBE, using λ = 1.5418 Å (Cu Kα).
No peak broadening, texture or thermal motion is included.

Structural model:
a b c (Å): 4.173 4.540 7.180
angles (deg): 78.56 73.27 63.45
Space group P-1 (No. 2)
Symmetry-distinct sites (fractional):
Ga (0.000, 0.000, 0.000) x1
Ga (0.500, 0.500, 0.500) x1
Cu (0.158, 0.071, 0.616) x2
Sn (0.231, 0.332, 0.210) x2

Peak list (8 most intense, 2θ = 5–70°, low angle first)
30.34 deg, intensity 53
30.61 deg, intensity 52
39.61 deg, intensity 86
40.13 deg, intensity 100
41.64 deg, intensity 69
41.75 deg, intensity 67
43.37 deg, intensity 87
43.90 deg, intensity 77

(4)
The following is a theoretical PXRD pattern of SrGa2Cu5. It was derived from a cell relaxed with PBE, using λ = 1.5418 Å (Cu Kα).
No peak broadening, texture or thermal motion is included.

Structural model:
a b c (Å): 4.031 6.699 9.980
angles (deg): 90.00 90.00 90.00
Space group Immm (No. 71)
Symmetry-distinct sites (fractional):
Sr (0.000, 0.000, 0.000) x2
Ga (0.000, 0.500, 0.244) x4
Cu (0.000, 0.180, 0.369) x8
Cu (0.000, 0.500, 0.000) x2

Peak list (8 most intense, 2θ = 5–70°, low angle first)
31.50 deg, intensity 44
34.97 deg, intensity 87
36.00 deg, intensity 100
44.81 deg, intensity 39
44.97 deg, intensity 55
45.32 deg, intensity 73
46.49 deg, intensity 46
65.76 deg, intensity 45

(5)
The following is a theoretical PXRD pattern of SrGa6Cu4. It was derived from a cell relaxed with PBE, using λ = 1.5418 Å (Cu Kα).
No peak broadening, texture or thermal motion is included.

Structural model:
a b c (Å): 7.2429 7.2429 4.0923
angles (deg): 90.00 90.00 120.00
Space group P-6m2 (No. 187)
Symmetry-distinct sites (fractional):
Sr (0.0000, 0.0000, 0.0000) x1
Ga (0.2012, 0.4023, 0.5000) x3
Ga (0.5349, 0.0698, 0.0000) x3
Cu (0.3333, 0.6667, 0.0000) x1
Cu (0.4240, 0.2120, 0.5000) x3

Peak list (8 most intense, 2θ = 5–70°, low angle first)
33.03 deg, intensity 23
36.08 deg, intensity 100
37.95 deg, intensity 43
44.15 deg, intensity 53
44.27 deg, intensity 34
48.92 deg, intensity 22
59.69 deg, intensity 22
69.27 deg, intensity 20

(6)
The following is a theoretical PXRD pattern of Sr3GaCu8. It was derived from a cell relaxed with PBE, using λ = 1.5418 Å (Cu Kα).
No peak broadening, texture or thermal motion is included.

Structural model:
a b c (Å): 5.3272 5.3272 26.5230
angles (deg): 90.00 90.00 120.00
Space group R3m (No. 160, hexagonal axes)
Symmetry-distinct sites (fractional):
Sr (0.0000, 0.0000, 0.0000) x3
Sr (0.0000, 0.0000, 0.1291) x3
Sr (0.0000, 0.0000, 0.6134) x3
Ga (0.0000, 0.0000, 0.4916) x3
Cu (0.0000, 0.0000, 0.3094) x3
Cu (0.0000, 0.0000, 0.8110) x3
Cu (0.0041, 0.5020, 0.0636) x9
Cu (0.0089, 0.5044, 0.5578) x9

Peak list (8 most intense, 2θ = 5–70°, low angle first)
33.28 deg, intensity 32
33.65 deg, intensity 35
39.18 deg, intensity 49
39.50 deg, intensity 100
39.66 deg, intensity 51
41.45 deg, intensity 51
63.89 deg, intensity 21
64.12 deg, intensity 23

(7)
The following is a theoretical PXRD pattern of SrGaCu. It was derived from a cell relaxed with PBE, using λ = 1.5418 Å (Cu Kα).
No peak broadening, texture or thermal motion is included.

Structural model:
a b c (Å): 6.632 6.632 6.632
angles (deg): 90.00 90.00 90.00
Space group P2_13 (No. 198)
Symmetry-distinct sites (fractional):
Sr (0.110, 0.110, 0.110) x4
Ga (0.088, 0.588, 0.912) x4
Cu (0.167, 0.333, 0.667) x4

Peak list (8 most intense, 2θ = 5–70°, low angle first)
30.13 deg, intensity 92
33.08 deg, intensity 100
40.82 deg, intensity 22
45.35 deg, intensity 17
51.56 deg, intensity 60
57.27 deg, intensity 19
60.88 deg, intensity 16
64.37 deg, intensity 15

(8)
The following is a theoretical PXRD pattern of Sr3Ga2Cu9. It was derived from a cell relaxed with PBE, using λ = 1.5418 Å (Cu Kα).
No peak broadening, texture or thermal motion is included.

Structural model:
a b c (Å): 4.225 10.170 12.519
angles (deg): 90.00 90.00 90.00
Space group Immm (No. 71)
Symmetry-distinct sites (fractional):
Sr (0.000, 0.000, 0.000) x2
Sr (0.000, 0.000, 0.303) x4
Ga (0.000, 0.226, 0.500) x4
Cu (0.000, 0.285, 0.106) x8
Cu (0.000, 0.294, 0.305) x8
Cu (0.000, 0.500, 0.000) x2

Peak list (8 most intense, 2θ = 5–70°, low angle first)
17.44 deg, intensity 73
33.90 deg, intensity 85
35.00 deg, intensity 72
35.30 deg, intensity 84
36.89 deg, intensity 55
41.95 deg, intensity 91
42.81 deg, intensity 91
45.75 deg, intensity 100

(9)
The following is a theoretical PXRD pattern of Sr3Ga5Cu6. It was derived from a cell relaxed with PBE, using λ = 1.5418 Å (Cu Kα).
No peak broadening, texture or thermal motion is included.

Structural model:
a b c (Å): 4.267 10.317 12.462
angles (deg): 90.00 90.00 90.00
Space group Immm (No. 71)
Symmetry-distinct sites (fractional):
Sr (0.000, 0.000, 0.000) x2
Sr (0.000, 0.000, 0.299) x4
Ga (0.000, 0.317, 0.323) x8
Ga (0.000, 0.500, 0.000) x2
Cu (0.000, 0.199, 0.500) x4
Cu (0.000, 0.290, 0.111) x8

Peak list (8 most intense, 2θ = 5–70°, low angle first)
33.47 deg, intensity 93
33.60 deg, intensity 46
33.84 deg, intensity 62
34.79 deg, intensity 100
36.52 deg, intensity 71
41.98 deg, intensity 67
42.36 deg, intensity 88
45.68 deg, intensity 59

(10)
The following is a theoretical PXRD pattern of Sr3Ga4Cu4. It was derived from a cell relaxed with PBE, using λ = 1.5418 Å (Cu Kα).
No peak broadening, texture or thermal motion is included.

Structural model:
a b c (Å): 4.378 4.423 12.902
angles (deg): 81.07 80.28 89.95
Space group P-1 (No. 2)
Symmetry-distinct sites (fractional):
Sr (0.000, 0.000, 0.000) x1
Sr (0.149, 0.647, 0.699) x2
Ga (0.302, 0.817, 0.405) x2
Ga (0.449, 0.452, 0.104) x2
Cu (0.244, 0.279, 0.502) x2
Cu (0.402, 0.908, 0.201) x2

Peak list (8 most intense, 2θ = 5–70°, low angle first)
7.04 deg, intensity 16
31.92 deg, intensity 28
31.97 deg, intensity 25
32.26 deg, intensity 100
38.43 deg, intensity 22
40.80 deg, intensity 38
41.24 deg, intensity 38
59.41 deg, intensity 24

(11)
The following is a theoretical PXRD pattern of SrGa4Cu9. It was derived from a cell relaxed with PBE, using λ = 1.5418 Å (Cu Kα).
No peak broadening, texture or thermal motion is included.

Structural model:
a b c (Å): 8.341 8.341 12.023
angles (deg): 90.00 90.00 90.00
Space group I4/mcm (No. 140)
Symmetry-distinct sites (fractional):
Sr (0.000, 0.000, 0.250) x4
Ga (0.181, 0.319, 0.120) x16
Cu (0.000, 0.500, 0.000) x4
Cu (0.062, 0.204, 0.500) x16
Cu (0.116, 0.384, 0.321) x16

Peak list (8 most intense, 2θ = 5–70°, low angle first)
15.02 deg, intensity 31
36.86 deg, intensity 53
37.23 deg, intensity 94
44.85 deg, intensity 80
45.26 deg, intensity 100
45.47 deg, intensity 85
45.77 deg, intensity 24
46.17 deg, intensity 24

(12)
The following is a theoretical PXRD pattern of Tb3Ga8Cu3. It was derived from a cell relaxed with PBE, using λ = 1.5418 Å (Cu Kα).
No peak broadening, texture or thermal motion is included.

Structural model:
a b c (Å): 4.272 9.378 12.473
angles (deg): 90.00 90.00 90.00
Space group Immm (No. 71)
Symmetry-distinct sites (fractional):
Tb (0.000, 0.000, 0.000) x2
Tb (0.000, 0.000, 0.302) x4
Ga (0.000, 0.289, 0.131) x8
Ga (0.000, 0.364, 0.345) x8
Cu (0.000, 0.185, 0.500) x4
Cu (0.000, 0.500, 0.000) x2

Peak list (8 most intense, 2θ = 5–70°, low angle first)
29.99 deg, intensity 23
34.54 deg, intensity 24
35.59 deg, intensity 46
35.70 deg, intensity 100
35.94 deg, intensity 28
36.95 deg, intensity 31
38.47 deg, intensity 29
42.31 deg, intensity 45